Li2VCrO4: computed powder diffraction line list (a wavelength of 1.5418 Å), based on DFT lattice parameters and positions (PBE+U).

Top 10 peaks for 10° ≤ 2θ ≤ 80°, in order of rising 2θ:
23.9°, I 100
24.0°, I 100
37.1°, I 29
37.3°, I 27
40.3°, I 64
44.3°, I 52
44.6°, I 51
61.6°, I 29
64.7°, I 27
79.0°, I 25

Structural model:
Lattice parameters (Å, degrees): 5.3234 5.3234 8.1757 112.56 112.56 44.90
Fractional coordinates of all 16 atoms:
Li 0.0000 0.0000 0.0000
Li 0.0042 0.0042 0.5021
Li 0.2391 0.2391 0.8695
Li 0.2685 0.2685 0.3842
V 0.7563 0.7563 0.6284
V 0.7570 0.7570 0.1283
Cr 0.5073 0.5073 0.7539
Cr 0.5083 0.5083 0.2551
O 0.2803 0.2803 0.1372
O 0.2801 0.2801 0.6415
O 0.5198 0.5198 0.5099
O 0.5331 0.5331 0.0173
O 0.7344 0.7344 0.8627
O 0.7345 0.7345 0.3713
O 0.9873 0.9873 0.2428
O 0.9926 0.9926 0.7475